1.
For Ba6GaI5, a GGA-PBE-relaxed structure gives the theoretical XRD peak list in this record (Cu Kα (weighted mean of Kα1 and Kα2)).
Intensities are scaled so that the largest is 100.

a = 8.8070 Å, b = 15.0303 Å, c = 8.6413 Å
α = 90.00°, β = 109.11°, γ = 90.00°
Space group C2/m (No. 12)
Unique sites:
Ba1 0.2239 0.0000 0.2602
Ba2 0.2287 0.1538 0.7291
Ga1 0.0000 0.0000 0.5000
I1 0.0000 0.1790 0.0000
I2 0.0000 0.3367 0.5000
I3 0.0000 0.5000 0.0000

Peak list (6 most intense, 2θ from 10° to 80°, sorted by position)
- (2 0 -2), 25.03 deg, rel. 100
- (2 0 2), 35.46 deg, rel. 38
- (0 6 0), 35.85 deg, rel. 12
- (1 3 -3), 35.96 deg, rel. 25
- (2 6 -2), 44.24 deg, rel. 13
- (5 3 -3), 57.65 deg, rel. 16


2.
For BaGa2I6, a GGA-PBE-relaxed structure gives the theoretical XRD peak list in this record (Cu Kα (weighted mean of Kα1 and Kα2)).
Intensities are scaled so that the largest is 100.

a = 8.0509 Å, b = 8.0509 Å, c = 25.8569 Å
α = 90.00°, β = 90.00°, γ = 120.00°
Space group R3 (No. 146, hexagonal axes)
Unique sites:
Ba1 0.0000 0.0000 0.0000
Ga1 0.0000 0.0000 0.6203
Ga2 0.0000 0.0000 0.7151
I1 0.0146 0.3106 0.5810
I2 0.0186 0.6426 0.4211

Peak list (6 most intense, 2θ from 10° to 80°, sorted by position)
- (1 0 1), 13.15 deg, rel. 20
- (0 0 6), 20.61 deg, rel. 24
- (1 1 3), 24.41 deg, rel. 100
- (2 -1 6), 30.40 deg, rel. 31
- (1 1 9), 38.50 deg, rel. 25
- (3 0 0), 38.74 deg, rel. 28


3.
For Ba6InGa2, a GGA-PBE-relaxed structure gives the theoretical XRD peak list in this record (Cu Kα (weighted mean of Kα1 and Kα2)).
Intensities are scaled so that the largest is 100.

a = 11.2839 Å, b = 11.7256 Å, c = 12.2291 Å
α = 90.00°, β = 90.00°, γ = 90.00°
Space group Immm (No. 71)
Unique sites:
Ba1 0.0000 0.1852 0.2476
Ba2 0.1814 0.5000 0.1646
Ba3 0.2272 0.3225 0.5000
In1 0.0000 0.0000 0.0000
In2 0.0000 0.0000 0.5000
Ga1 0.0000 0.3290 0.0000
Ga2 0.0000 0.5000 0.3953

Peak list (6 most intense, 2θ from 10° to 80°, sorted by position)
- (3 1 0), 24.86 deg, rel. 38
- (2 2 2), 26.33 deg, rel. 100
- (2 1 3), 28.06 deg, rel. 40
- (1 3 2), 28.23 deg, rel. 82
- (2 3 1), 28.73 deg, rel. 65
- (0 0 4), 29.17 deg, rel. 45